No. 1
Calculated powder XRD pattern
Compound: Tl2SnCl6
Radiation: λ = 1.5418 Å (Cu Kα)
Structure: a crystal structure in the Materials Project, relaxed with GGA-PBE

Main lines, in order of rising 2θ (2θ = 10–90°):
17.3 deg, I = 22; 24.5 deg, I = 100; 30.2 deg, I = 50; 35.0 deg, I = 55; 43.2 deg, I = 47; 50.3 deg, I = 38; 56.7 deg, I = 22; 68.4 deg, I = 26

Structural model:
```
Tl2SnCl6
1.0
0.000 5.131 5.131
5.131 0.000 5.131
5.131 5.131 0.000
Tl Sn Cl
2 1 6
Cartesian
2.566 2.566 2.566
7.697 7.697 7.697
0.000 0.000 0.000
5.131 5.131 2.469
5.131 2.469 5.131
7.794 5.131 5.131
2.469 5.131 5.131
5.131 7.794 5.131
5.131 5.131 7.794
```

No. 2
Calculated powder XRD pattern
Compound: NdHo3
Radiation: λ = 1.5418 Å (Cu Kα)
Structure: a crystal structure in the Materials Project, relaxed with GGA-PBE

Main lines, in order of rising 2θ (2θ = 10–90°):
30.7 deg, I = 100; 35.6 deg, I = 51; 51.2 deg, I = 36; 60.9 deg, I = 43; 63.9 deg, I = 12; 75.3 deg, I = 6; 83.5 deg, I = 18; 86.2 deg, I = 17

Structural model:
```
NdHo3
1.0
-2.524 2.524 5.042
2.524 -2.524 5.042
2.524 2.524 -5.042
Nd Ho
1 3
Cartesian
0.000 0.000 0.000
2.524 0.000 2.521
0.000 0.000 5.042
0.000 2.524 2.521
```

No. 3
Calculated powder XRD pattern
Compound: ZrPb3F10
Radiation: λ = 1.5418 Å (Cu Kα)
Structure: a crystal structure in the Materials Project, relaxed with GGA-PBE

Main lines, in order of rising 2θ (2θ = 10–90°):
26.1 deg, I = 100; 26.6 deg, I = 22; 27.5 deg, I = 16; 29.2 deg, I = 19; 39.5 deg, I = 16; 40.6 deg, I = 19; 43.1 deg, I = 13; 49.9 deg, I = 34

Structural model:
```
ZrPb3F10
1.0
5.347 -6.482 0.000
5.347 6.482 0.000
0.000 0.000 6.112
Zr Pb F
2 6 20
Cartesian
5.347 4.112 4.584
5.347 -4.112 1.528
2.297 1.370 4.584
2.297 -1.370 1.528
5.347 1.435 1.528
5.347 -1.435 4.584
8.397 1.370 4.584
8.397 -1.370 1.528
1.761 1.150 1.528
5.347 5.138 0.287
5.347 5.138 2.769
4.053 2.916 3.301
4.053 2.916 5.867
1.761 -1.150 4.584
3.889 0.000 0.000
3.889 0.000 3.056
6.641 2.916 3.301
6.641 2.916 5.867
4.053 -2.916 0.245
4.053 -2.916 2.811
6.805 0.000 0.000
6.805 0.000 3.056
8.933 1.150 1.528
6.641 -2.916 0.245
6.641 -2.916 2.811
5.347 -5.138 3.343
5.347 -5.138 5.825
8.933 -1.150 4.584
```

No. 4
Calculated powder XRD pattern
Compound: Rb2TlHgF6
Radiation: λ = 1.5418 Å (Cu Kα)
Structure: a crystal structure in the Materials Project, relaxed with GGA-PBE

Main lines, in order of rising 2θ (2θ = 10–90°):
19.0 deg, I = 28; 27.0 deg, I = 100; 38.5 deg, I = 33; 43.3 deg, I = 14; 47.6 deg, I = 44; 55.6 deg, I = 22; 62.8 deg, I = 20; 76.2 deg, I = 23

Structural model:
```
Rb2TlHgF6
1.0
0.000 4.677 4.677
4.677 0.000 4.677
4.677 4.677 0.000
Rb Tl Hg F
2 1 1 6
Cartesian
2.338 2.338 2.338
7.015 7.015 7.015
0.000 0.000 0.000
4.677 4.677 4.677
4.677 4.677 2.344
4.677 2.344 4.677
7.010 4.677 4.677
2.344 4.677 4.677
4.677 7.010 4.677
4.677 4.677 7.010
```

No. 5
Calculated powder XRD pattern
Compound: Sr3Th
Radiation: λ = 1.5418 Å (Cu Kα)
Structure: a crystal structure in the Materials Project, relaxed with GGA-PBE

Main lines, in order of rising 2θ (2θ = 10–90°):
17.1 deg, I = 16; 28.1 deg, I = 100; 33.1 deg, I = 10; 40.2 deg, I = 19; 49.8 deg, I = 42; 58.2 deg, I = 13; 65.9 deg, I = 18; 80.1 deg, I = 21

Structural model:
```
Sr3Th
1.0
0.000 4.485 4.485
4.485 0.000 4.485
4.485 4.485 0.000
Sr Th
3 1
Cartesian
0.000 0.000 0.000
2.242 2.242 2.242
6.727 6.727 6.727
4.485 4.485 4.485
```